Starting from a PBE+U-relaxed structure, the powder X-ray diffraction pattern of Nd2MnBiO6 was simulated for a wavelength of 1.5418 Å.
No peak broadening, texture or thermal motion is included.

Structural model:
```
Nd2MnBiO6
1.0
5.403 0.000 0.000
0.000 5.403 0.000
0.000 0.000 5.436
Nd Mn Bi O
2 1 1 6
Direct
0.000 0.500 0.000
0.500 0.000 0.000
0.000 0.000 0.617
0.500 0.500 0.546
0.000 0.000 0.222
0.239 0.239 0.738
0.239 0.761 0.738
0.500 0.500 0.122
0.761 0.239 0.738
0.761 0.761 0.738
```

The 6 most intense peaks (2θ from 5° to 70°), in order of rising 2θ:
2θ (°)  d/Å  Rel. int.
16.37  5.416  22.1
28.56  3.126  100.0
33.16  2.702  34.0
47.45  1.916  27.7
47.60  1.910  18.9
56.45  1.630  30.3